This entry pairs a crystal structure of SrGaNiO3 with its calculated powder diffractogram. Radiation: λ = 1.5418 Å (Cu Kα). Structure: a structure optimized by DFT (GGA+U).
Intensities are scaled so that the largest is 100.

Main lines, in order of rising 2θ (2θ = 5–70°):
hkl  2θ/deg  intensity
2 0 0  31.99  42.7
0 4 0  32.94  31.7
0 0 2  33.33  37.9
1 3 1  33.85  100.0
2 0 2  46.87  47.4
3 3 1  58.21  20.8

Structural model:
a = 5.595 Å, b = 10.878 Å, c = 5.377 Å
α = 90.00°, β = 90.00°, γ = 90.00°
Space group Cmcm (No. 63)
Inequivalent atoms, fractional coordinates:
Sr  0.000  0.244  0.250 [4 per cell]
Ga  0.000  0.442  0.750 [4 per cell]
Ni  0.000  0.032  0.750 [4 per cell]
O  0.000  0.270  0.750 [4 per cell]
O  0.229  0.500  0.000 [8 per cell]